Calculated X-ray powder pattern of Mg6Rh for CuKα, from a DFT-relaxed cell (GGA-PBE, Alexandria).

Top 10 peaks for 15 to 90 degrees two-theta, in order of rising 2θ:
2θ = 15.9°, rel. 100; 2θ = 19.2°, rel. 23; 2θ = 21.1°, rel. 24; 2θ = 25.0°, rel. 55; 2θ = 35.5°, rel. 25; 2θ = 37.7°, rel. 70; 2θ = 37.9°, rel. 36; 2θ = 39.0°, rel. 18; 2θ = 39.5°, rel. 67; 2θ = 42.4°, rel. 33

Cell and atoms:
Cell lengths 5.616, 5.616, 9.235 Å; angles 90.00, 90.00, 82.86 degrees
Fractional positions:
Mg 0.029 0.601 0.250
Mg 0.165 0.835 0.587
Mg 0.165 0.835 0.913
Mg 0.327 0.327 0.000
Mg 0.327 0.327 0.500
Mg 0.399 0.971 0.250
Mg 0.601 0.029 0.750
Mg 0.673 0.673 0.000
Mg 0.673 0.673 0.500
Mg 0.835 0.165 0.087
Mg 0.835 0.165 0.413
Mg 0.971 0.399 0.750
Rh 0.466 0.534 0.750
Rh 0.534 0.466 0.250